# 1
The following is a simulated powder diffraction line list of HgPdPt2S6. It was derived from a PBE-relaxed structure, using Cu Kα.

Main lines, sorted by position (10 to 90 degrees two-theta):
Position (°2θ)	d [Å]	I/Imax
25.1	3.544	100.0
28.3	3.151	89.2
29.5	3.031	20.9
31.8	2.818	33.5
43.9	2.064	72.6
50.9	1.795	35.8
51.6	1.772	26.0
56.2	1.636	22.6

abc: 7.472 7.472 3.688
angles: 90.00 90.00 108.46
Positions (direct):
1 Hg 0.000 0.000 0.000
2 Pd 0.500 0.500 0.000
3 Pt 0.000 0.500 0.500
4 Pt 0.500 0.000 0.500
5 S 0.166 0.834 0.500
6 S 0.171 0.424 0.000
7 S 0.424 0.171 0.000
8 S 0.576 0.829 0.000
9 S 0.829 0.576 0.000
10 S 0.834 0.166 0.500

***

# 2
The following is a simulated powder diffraction line list of FeB4. It was derived from a PBE-relaxed structure, using Cu Kα.

Main lines, sorted by position (10 to 90 degrees two-theta):
Position (°2θ)	d [Å]	I/Imax
17.7	5.004	99.4
35.9	2.502	23.3
36.2	2.483	55.3
37.3	2.410	100.0
40.6	2.224	20.5
45.5	1.992	69.0
59.3	1.558	58.2
65.1	1.434	31.5

abc: 2.867 2.867 10.007
angles: 90.00 90.00 120.00
Positions (direct):
1 Fe 0.333 0.667 0.250
2 Fe 0.667 0.333 0.750
3 B 0.333 0.667 0.043
4 B 0.333 0.667 0.457
5 B 0.333 0.667 0.626
6 B 0.333 0.667 0.874
7 B 0.667 0.333 0.126
8 B 0.667 0.333 0.374
9 B 0.667 0.333 0.543
10 B 0.667 0.333 0.957

***

# 3
The following is a simulated powder diffraction line list of Pr3Cd3GaPtAu. It was derived from a PBE-relaxed structure, using Cu Kα.

Main lines, sorted by position (10 to 90 degrees two-theta):
Position (°2θ)	d [Å]	I/Imax
31.6	2.831	71.4
34.3	2.615	100.0
34.8	2.579	34.1
39.6	2.275	42.2
41.4	2.179	42.5
44.5	2.036	24.3
61.1	1.517	23.5
63.7	1.461	35.0

abc: 7.879 7.879 4.071
angles: 90.00 90.00 120.00
Positions (direct):
1 Pr 0.083 0.734 0.000
2 Pr 0.266 0.349 0.000
3 Pr 0.651 0.917 0.000
4 Cd 0.407 0.077 0.500
5 Cd 0.670 0.593 0.500
6 Cd 0.923 0.330 0.500
7 Ga 0.000 0.000 0.500
8 Pt 0.333 0.667 0.500
9 Au 0.667 0.333 0.000

***

# 4
The following is a simulated powder diffraction line list of Cs2LiNbSe4. It was derived from a PBE-relaxed structure, using Cu Kα.

Main lines, sorted by position (10 to 90 degrees two-theta):
Position (°2θ)	d [Å]	I/Imax
23.5	3.779	52.6
25.7	3.468	67.9
26.2	3.401	100.0
26.9	3.311	40.5
30.4	2.938	39.4
30.9	2.895	34.5
42.4	2.133	26.1
47.9	1.898	25.9

abc: 7.265 7.612 10.284
angles: 96.56 92.44 91.34
Positions (direct):
1 Cs 0.126 0.201 0.155
2 Cs 0.301 0.754 0.504
3 Cs 0.699 0.246 0.496
4 Cs 0.874 0.799 0.845
5 Li 0.410 0.677 0.073
6 Li 0.590 0.323 0.927
7 Nb 0.218 0.291 0.748
8 Nb 0.782 0.709 0.252
9 Se 0.087 0.700 0.168
10 Se 0.198 0.251 0.512
11 Se 0.381 0.052 0.832
12 Se 0.398 0.563 0.822
13 Se 0.602 0.437 0.178
14 Se 0.619 0.948 0.168
15 Se 0.802 0.749 0.488
16 Se 0.913 0.300 0.832